Diffraction record for TlCoCuO2. The XRD peak list is simulated, not measured: it uses a structure optimized by DFT (GGA+U) and Cu Kα (λ = 1.5418 Å).
Lines closer than 0.1° are merged.

Peak list (6 most intense, 2θ from 10° to 90°, in order of falling intensity)
d (Å)	I (rel.)
3.515	100
2.680	80
2.929	45
2.191	44
2.944	28
1.977	24

Cell and atoms:
```
10
Lattice="2.944 -5.859 0.000 2.944 5.859 0.000 0.000 0.000 4.724" Properties=species:S:1:pos:R:3 pbc="T T T"
Tl 2.944 2.929 3.552
Tl 2.944 -2.929 1.172
Co 1.472 0.000 0.000
Co 4.416 0.000 0.000
Cu 0.000 0.000 2.362
Cu 2.944 0.000 2.362
O 2.944 4.775 0.855
O 2.944 1.084 0.855
O 2.944 -1.084 3.869
O 2.944 -4.775 3.869
```